1.
This entry pairs a crystal structure of Li9Mn2Co5O16 with its simulated XRD peak list. Radiation: Cu Kα. Structure: a structure optimized by DFT (PBE+U).
Lines closer than 0.1° are merged.

Top 10 peaks for 2θ from 10° to 80°, by angle:
- 2θ = 18.32°, rel. 100, (4 0 0)
- 2θ = 35.98°, rel. 39, (1 1 2)
- 2θ = 37.73°, rel. 7, (3 1 -2)
- 2θ = 43.46°, rel. 55, (5 1 2)
- 2θ = 43.71°, rel. 26, (6 0 -4)
- 2θ = 47.82°, rel. 9, (7 1 -2)
- 2θ = 57.23°, rel. 10, (9 1 2)
- 2θ = 63.21°, rel. 14, (11 1 -2)
- 2θ = 63.47°, rel. 14, (1 1 -6)
- 2θ = 63.84°, rel. 7, (0 2 0)

Structural model:
Lattice parameters (Å, degrees): 19.4300 2.9161 10.1715 90.00 94.28 90.00
Space group Cm (No. 8)
Asymmetric unit:
1 Li 0.0000 0.0000 0.0000
2 Li 0.0004 0.5000 0.2495
3 Li 0.0020 0.5000 0.7509
4 Li 0.0053 0.0000 0.5002
5 Li 0.1199 0.5000 0.4403
6 Li 0.2335 0.0000 0.3822
7 Li 0.2374 0.5000 0.1268
8 Li 0.2386 0.0000 0.8765
9 Li 0.2410 0.5000 0.6290
10 Mn 0.3691 0.0000 0.5651
11 Mn 0.3707 0.0000 0.0635
12 Co 0.1186 0.0000 0.2043
13 Co 0.1198 0.5000 0.9397
14 Co 0.1214 0.0000 0.6752
15 Co 0.3695 0.5000 0.3148
16 Co 0.3706 0.5000 0.8148
17 O 0.0573 0.0000 0.3289
18 O 0.0607 0.5000 0.6020
19 O 0.0631 0.0000 0.8455
20 O 0.0655 0.5000 0.0873
21 O 0.1765 0.0000 0.0327
22 O 0.1756 0.5000 0.7931
23 O 0.1799 0.5000 0.2780
24 O 0.1807 0.0000 0.5486
25 O 0.3133 0.5000 0.9896
26 O 0.3138 0.5000 0.4850
27 O 0.3154 0.0000 0.7157
28 O 0.3185 0.0000 0.2222
29 O 0.4215 0.0000 0.4063
30 O 0.4253 0.0000 0.9153
31 O 0.4260 0.5000 0.1436
32 O 0.4262 0.5000 0.6393

2.
This entry pairs a crystal structure of LiVCrP4O14 with its simulated XRD peak list. Radiation: Cu Kα. Structure: a structure optimized by DFT (PBE+U).
Lines closer than 0.1° are merged.

Top 10 peaks for 2θ from 10° to 80°, by angle:
- 2θ = 17.28°, rel. 100, (1 1 1)
- 2θ = 22.17°, rel. 22, (1 1 -1)
- 2θ = 22.58°, rel. 43, (0 1 -2)
- 2θ = 25.83°, rel. 17, (1 -2 1)
- 2θ = 26.72°, rel. 20, (2 0 0)
- 2θ = 28.98°, rel. 24, (2 -1 0)
- 2θ = 29.70°, rel. 51, (0 2 -2)
- 2θ = 29.91°, rel. 25, (1 1 3)
- 2θ = 34.97°, rel. 13, (2 2 2)
- 2θ = 39.64°, rel. 11, (3 1 1)

Structural model:
Lattice parameters (Å, degrees): 7.1656 8.0703 9.6894 89.97 68.62 89.94
Space group P1 (No. 1)
Asymmetric unit:
1 Li 0.0000 0.0000 0.0000
2 Li 0.1524 0.5021 0.5008
3 V 0.1113 0.1337 0.4940
4 V 0.6060 0.1450 0.9940
5 Cr 0.0453 0.6353 0.0069
6 Cr 0.5497 0.6441 0.5068
7 P 0.0413 0.3206 0.8118
8 P 0.1144 0.8184 0.6907
9 P 0.2335 0.9195 0.1833
10 P 0.4278 0.4216 0.8150
11 P 0.5362 0.3158 0.3136
12 P 0.6193 0.8145 0.1901
13 P 0.7279 0.9207 0.6849
14 P 0.9240 0.4199 0.3151
15 O 0.0329 0.4567 0.1524
16 O 0.0627 0.3259 0.3791
17 O 0.0755 0.3130 0.6444
18 O 0.0841 0.8203 0.8546
19 O 0.0862 0.8351 0.1265
20 O 0.1295 0.9687 0.3475
21 O 0.1858 0.9904 0.6236
22 O 0.2453 0.6790 0.5995
23 O 0.2516 0.2839 0.8287
24 O 0.3249 0.0748 0.0899
25 O 0.3318 0.5709 0.9099
26 O 0.3981 0.1764 0.3992
27 O 0.4029 0.7865 0.1720
28 O 0.4579 0.4858 0.3790
29 O 0.5331 0.4626 0.6522
30 O 0.5669 0.3208 0.8723
31 O 0.5739 0.3054 0.1466
32 O 0.5811 0.8181 0.3541
33 O 0.5831 0.8289 0.6340
34 O 0.6302 0.9762 0.8482
35 O 0.6940 0.9861 0.1167
36 O 0.7478 0.2854 0.3306
37 O 0.7516 0.6770 0.1011
38 O 0.8318 0.0728 0.5913
39 O 0.8371 0.5726 0.4098
40 O 0.9001 0.7859 0.6757
41 O 0.9069 0.1782 0.9001
42 O 0.9675 0.4905 0.8721

3.
This entry pairs a crystal structure of Li4MnF8 with its simulated XRD peak list. Radiation: Cu Kα. Structure: a structure optimized by DFT (PBE+U).
Lines closer than 0.1° are merged.

Top 10 peaks for 2θ from 10° to 80°, by angle:
- 2θ = 18.55°, rel. 100, (1 0 1)
- 2θ = 22.00°, rel. 19, (1 1 0)
- 2θ = 30.13°, rel. 18, (1 1 2)
- 2θ = 36.64°, rel. 16, (2 1 1)
- 2θ = 37.62°, rel. 14, (2 0 2)
- 2θ = 41.33°, rel. 23, (0 0 4)
- 2θ = 44.86°, rel. 37, (2 2 0)
- 2θ = 54.96°, rel. 12, (1 0 5)
- 2θ = 59.26°, rel. 11, (3 2 1)
- 2θ = 62.63°, rel. 20, (2 2 4)

Structural model:
Lattice parameters (Å, degrees): 5.7144 5.7144 8.7372 90.00 90.00 90.00
Space group I4/mmm (No. 139)
Asymmetric unit:
1 Li 0.2500 0.2500 0.2500
2 Mn 0.0000 0.0000 0.0000
3 F 0.0000 0.0000 0.2163
4 F 0.0000 0.5000 0.2500
5 F 0.2257 0.2257 0.0000

4.
This entry pairs a crystal structure of CrP3O9 with its simulated XRD peak list. Radiation: Cu Kα. Structure: a structure optimized by DFT (PBE+U).
Lines closer than 0.1° are merged.

Top 10 peaks for 2θ from 10° to 80°, by angle:
- 2θ = 17.78°, rel. 100, (1 1 1)
- 2θ = 21.02°, rel. 15, (0 2 0)
- 2θ = 22.20°, rel. 60, (1 0 2)
- 2θ = 23.25°, rel. 75, (2 0 1)
- 2θ = 24.60°, rel. 38, (1 1 2)
- 2θ = 25.57°, rel. 55, (2 1 1)
- 2θ = 33.12°, rel. 16, (1 1 3)
- 2θ = 33.29°, rel. 29, (0 3 1)
- 2θ = 33.68°, rel. 21, (3 1 0)
- 2θ = 35.00°, rel. 18, (1 3 1)

Structural model:
Lattice parameters (Å, degrees): 8.4117 8.4525 9.1059 90.00 90.00 90.00
Space group P2_12_12_1 (No. 19)
Asymmetric unit:
1 Cr 0.1248 0.0970 0.1368
2 P 0.0684 0.7274 0.0817
3 P 0.0720 0.9474 0.8340
4 P 0.2154 0.5611 0.5551
5 O 0.0182 0.7880 0.9200
6 O 0.0660 0.1375 0.3489
7 O 0.1000 0.5262 0.6956
8 O 0.1116 0.5944 0.4231
9 O 0.1337 0.8648 0.1679
10 O 0.1423 0.9045 0.6878
11 O 0.1546 0.3276 0.0992
12 O 0.1703 0.0541 0.9311
13 O 0.2069 0.6097 0.0311

5.
This entry pairs a crystal structure of CaLaFeSbO6 with its simulated XRD peak list. Radiation: Cu Kα. Structure: a structure optimized by DFT (PBE+U).
Lines closer than 0.1° are merged.

Top 10 peaks for 2θ from 10° to 80°, by angle:
- 2θ = 18.94°, rel. 41, (0 1 -1)
- 2θ = 19.36°, rel. 24, (1 0 1)
- 2θ = 31.06°, rel. 44, (0 2 0)
- 2θ = 31.24°, rel. 100, (1 -1 2)
- 2θ = 31.52°, rel. 48, (1 1 -2)
- 2θ = 31.78°, rel. 45, (1 1 2)
- 2θ = 31.95°, rel. 44, (2 0 0)
- 2θ = 44.56°, rel. 25, (2 -2 0)
- 2θ = 44.98°, rel. 28, (0 0 4)
- 2θ = 56.07°, rel. 29, (-3 1 2)

Structural model:
Lattice parameters (Å, degrees): 5.6039 5.7605 8.0624 90.27 90.38 91.45
Space group P1 (No. 1)
Asymmetric unit:
1 Ca 0.0000 0.0000 0.0000
2 Ca 0.4890 0.3917 0.4966
3 La 0.0165 0.8966 0.4953
4 La 0.5290 0.4967 0.9967
5 Fe 0.0094 0.4460 0.2483
6 Fe 0.5108 0.9465 0.7481
7 Sb 0.0113 0.4439 0.7466
8 Sb 0.5081 0.9487 0.2461
9 O 0.1100 0.4084 0.9862
10 O 0.2024 0.1646 0.6893
11 O 0.2224 0.1400 0.2955
12 O 0.3038 0.6441 0.6955
13 O 0.3157 0.6549 0.2995
14 O 0.4081 0.9151 0.0077
15 O 0.6030 0.9826 0.4862
16 O 0.7043 0.2391 0.1970
17 O 0.7222 0.2416 0.7991
18 O 0.7968 0.7584 0.1976
19 O 0.8241 0.7275 0.8057
20 O 0.9039 0.4782 0.5089

6.
This entry pairs a crystal structure of V6PbO11 with its simulated XRD peak list. Radiation: Cu Kα. Structure: a structure optimized by DFT (PBE+U).
Lines closer than 0.1° are merged.

Top 10 peaks for 2θ from 10° to 80°, by angle:
- 2θ = 18.45°, rel. 59, (1 0 1)
- 2θ = 26.24°, rel. 61, (0 0 4)
- 2θ = 30.11°, rel. 54, (1 1 0)
- 2θ = 31.58°, rel. 59, (1 0 4)
- 2θ = 32.93°, rel. 100, (1 1 2)
- 2θ = 37.42°, rel. 56, (2 0 2)
- 2θ = 40.35°, rel. 54, (2 0 3)
- 2θ = 53.97°, rel. 39, (2 0 6)
- 2θ = 54.40°, rel. 29, (2 1 4)
- 2θ = 62.59°, rel. 31, (2 2 0)

Structural model:
Lattice parameters (Å, degrees): 5.9369 5.9369 13.5826 90.00 90.00 120.00
Space group P6_3mc (No. 186)
Asymmetric unit:
1 V 0.0000 0.0000 0.0000
2 V 0.0000 0.0000 0.2058
3 V 0.0034 0.5017 0.3504
4 V 0.3333 0.6667 0.6093
5 Pb 0.3333 0.6667 0.0751
6 O 0.1479 0.2958 0.6032
7 O 0.1700 0.3399 0.2781
8 O 0.1770 0.3540 0.9323
9 O 0.3333 0.6667 0.4330
10 O 0.3333 0.6667 0.7691

7.
This entry pairs a crystal structure of CoTeO4 with its simulated XRD peak list. Radiation: Cu Kα. Structure: a structure optimized by DFT (PBE+U).
Lines closer than 0.1° are merged.

Top 10 peaks for 2θ from 10° to 80°, by angle:
- 2θ = 17.37°, rel. 13, (0 0 1)
- 2θ = 18.31°, rel. 100, (1 0 0)
- 2θ = 33.29°, rel. 17, (1 0 -2)
- 2θ = 33.90°, rel. 32, (0 1 1)
- 2θ = 35.53°, rel. 13, (1 1 -1)
- 2θ = 41.16°, rel. 16, (2 0 -2)
- 2θ = 41.84°, rel. 33, (1 1 1)
- 2θ = 45.86°, rel. 11, (2 1 -1)
- 2θ = 56.04°, rel. 11, (2 1 1)
- 2θ = 61.47°, rel. 12, (2 0 2)

Structural model:
Lattice parameters (Å, degrees): 5.1902 3.0915 5.4697 90.00 111.00 90.00
Space group P2/m (No. 10)
Asymmetric unit:
1 Co 0.0000 0.0000 0.0000
2 Te 0.0000 0.5000 0.5000
3 O 0.1833 0.5000 0.2533
4 O 0.2253 0.0000 0.7144